# 1
Calculated powder diffractogram
Compound: ScCl5
Radiation: λ = 1.5418 Å (Cu Kα)
Structure: a crystal structure in Alexandria, relaxed with PBE
Lines closer than 0.1° are merged.

Structural model:
```
6
Lattice="3.7100 0.0000 0.0000 0.0000 4.9993 0.0000 -1.3744 0.0000 11.3429" Properties=species:S:1:pos:R:3 pbc="T T T"
Sc 0.0000 0.0000 0.0000
Cl -1.3713 2.4997 11.3388
Cl 0.8188 2.4997 6.6284
Cl 0.4799 0.0000 9.6457
Cl 1.3250 2.4997 4.7019
Cl 1.8556 0.0000 1.6974
```

Most intense lines, 15° ≤ 2θ ≤ 90°, in order of rising 2θ:
| 2theta | I_rel |
| --- | --- |
| 15.62 | 57.7 |
| 19.40 | 100.0 |
| 26.33 | 29.2 |
| 30.43 | 31.5 |
| 31.81 | 14.4 |
| 31.93 | 12.8 |
| 35.49 | 14.9 |
| 35.93 | 35.4 |
| 36.03 | 19.4 |
| 37.63 | 24.5 |
| 53.01 | 16.1 |
| 56.83 | 13.4 |


# 2
Calculated powder diffractogram
Compound: Sc7Cl12
Radiation: λ = 1.5418 Å (Cu Kα)
Structure: a crystal structure in Alexandria, relaxed with PBE
Lines closer than 0.1° are merged.

Structural model:
```
19
Lattice="6.6026 3.8120 2.9935 -6.6026 3.8120 2.9935 0.0000 -7.6240 2.9935" Properties=species:S:1:pos:R:3 pbc="T T T"
Sc 0.0000 0.0000 0.0000
Sc -1.3496 -1.3460 3.1867
Sc -0.4908 1.8418 3.1867
Sc 1.8405 -0.4958 3.1867
Sc -1.8405 0.4958 5.7937
Sc 0.4908 -1.8418 5.7937
Sc 1.3496 1.3460 5.7937
Cl -1.9933 0.5593 1.4967
Cl 0.5123 -2.0059 1.4967
Cl -3.5415 -0.9387 4.4293
Cl -0.9578 -3.5364 4.5511
Cl 1.4810 1.4466 1.4967
Cl -2.5837 2.5976 4.5511
Cl 2.5837 -2.5976 4.4293
Cl -1.4810 -1.4466 7.4837
Cl 0.9578 3.5364 4.4293
Cl 3.5415 0.9387 4.5511
Cl -0.5123 2.0059 7.4837
Cl 1.9933 -0.5593 7.4837
```

Most intense lines, 15° ≤ 2θ ≤ 90°, in order of rising 2θ:
| 2theta | I_rel |
| --- | --- |
| 18.39 | 13.0 |
| 22.83 | 9.2 |
| 29.87 | 13.3 |
| 32.85 | 11.1 |
| 34.62 | 100.0 |
| 35.65 | 5.5 |
| 39.79 | 5.5 |
| 40.70 | 5.4 |
| 49.78 | 59.5 |
| 62.05 | 17.6 |
| 73.05 | 8.3 |
| 83.43 | 19.9 |


Copy entry 1 word for word.
Calculated powder diffractogram
Compound: ScCl5
Radiation: λ = 1.5418 Å (Cu Kα)
Structure: a crystal structure in Alexandria, relaxed with PBE
Lines closer than 0.1° are merged.

Structural model:
```
6
Lattice="3.7100 0.0000 0.0000 0.0000 4.9993 0.0000 -1.3744 0.0000 11.3429" Properties=species:S:1:pos:R:3 pbc="T T T"
Sc 0.0000 0.0000 0.0000
Cl -1.3713 2.4997 11.3388
Cl 0.8188 2.4997 6.6284
Cl 0.4799 0.0000 9.6457
Cl 1.3250 2.4997 4.7019
Cl 1.8556 0.0000 1.6974
```

Most intense lines, 15° ≤ 2θ ≤ 90°, in order of rising 2θ:
| 2theta | I_rel |
| --- | --- |
| 15.62 | 57.7 |
| 19.40 | 100.0 |
| 26.33 | 29.2 |
| 30.43 | 31.5 |
| 31.81 | 14.4 |
| 31.93 | 12.8 |
| 35.49 | 14.9 |
| 35.93 | 35.4 |
| 36.03 | 19.4 |
| 37.63 | 24.5 |
| 53.01 | 16.1 |
| 56.83 | 13.4 |


Please write out number 1 again, unchanged.
Calculated powder diffractogram
Compound: ScCl5
Radiation: λ = 1.5418 Å (Cu Kα)
Structure: a crystal structure in Alexandria, relaxed with PBE
Lines closer than 0.1° are merged.

Structural model:
```
6
Lattice="3.7100 0.0000 0.0000 0.0000 4.9993 0.0000 -1.3744 0.0000 11.3429" Properties=species:S:1:pos:R:3 pbc="T T T"
Sc 0.0000 0.0000 0.0000
Cl -1.3713 2.4997 11.3388
Cl 0.8188 2.4997 6.6284
Cl 0.4799 0.0000 9.6457
Cl 1.3250 2.4997 4.7019
Cl 1.8556 0.0000 1.6974
```

Most intense lines, 15° ≤ 2θ ≤ 90°, in order of rising 2θ:
| 2theta | I_rel |
| --- | --- |
| 15.62 | 57.7 |
| 19.40 | 100.0 |
| 26.33 | 29.2 |
| 30.43 | 31.5 |
| 31.81 | 14.4 |
| 31.93 | 12.8 |
| 35.49 | 14.9 |
| 35.93 | 35.4 |
| 36.03 | 19.4 |
| 37.63 | 24.5 |
| 53.01 | 16.1 |
| 56.83 | 13.4 |


- Number 1 is which compound?
  ScCl5